Record 1
This entry pairs a crystal structure of Bi2Pt with its simulated powder diffraction line list. Radiation: a wavelength of 1.5418 Å. Structure: a structure optimized by DFT (PBE).
No peak broadening, texture or thermal motion is included.

Structure:
```
Bi2Pt
1.0
4.160 0.000 0.000
-2.080 3.603 0.000
0.000 0.000 5.608
Bi Pt
2 1
direct
0.333 0.667 0.255
0.667 0.333 0.745
0.000 0.000 0.000
```

Main lines, low angle first (2θ = 10–90°):
2θ 15.8, intensity 14, (0 0 1)
2θ 29.5, intensity 100, (0 1 1)
2θ 40.8, intensity 40, (1 0 2)
2θ 43.5, intensity 39, (1 1 0)
2θ 53.4, intensity 20, (2 0 1)
2θ 55.4, intensity 17, (1 0 3)
2θ 61.2, intensity 13, (0 2 2)
2θ 71.3, intensity 17, (1 2 1)
2θ 78.0, intensity 13, (2 1 2)
2θ 83.1, intensity 13, (1 1 4)

***

Record 2
This entry pairs a crystal structure of BiPt with its simulated powder diffraction line list. Radiation: a wavelength of 1.5418 Å. Structure: a structure optimized by DFT (PBE).
No peak broadening, texture or thermal motion is included.

Structure:
```
BiPt
1.0
3.843 0.000 0.000
-1.921 3.328 0.000
0.000 0.000 7.483
Bi Pt
2 2
direct
0.000 0.000 0.000
0.000 0.000 0.500
0.333 0.667 0.250
0.667 0.333 0.750
```

Main lines, low angle first (2θ = 10–90°):
2θ 26.8, intensity 14, (1 0 0)
2θ 29.4, intensity 51, (1 0 1)
2θ 36.1, intensity 100, (1 0 2)
2θ 45.4, intensity 16, (1 0 3)
2θ 47.3, intensity 41, (1 1 0)
2θ 48.7, intensity 13, (0 0 4)
2θ 60.9, intensity 23, (2 0 2)
2θ 70.2, intensity 26, (1 1 4)
2θ 80.6, intensity 21, (2 1 2)
2θ 82.6, intensity 10, (1 0 6)

***

Record 3
This entry pairs a crystal structure of Bi2Pt with its simulated powder diffraction line list. Radiation: a wavelength of 1.5418 Å. Structure: a structure optimized by DFT (PBE).
No peak broadening, texture or thermal motion is included.

Structure:
```
Bi2Pt
1.0
6.833 0.000 0.000
0.000 6.833 0.000
0.000 0.000 6.833
Bi Pt
8 4
direct
0.130 0.130 0.130
0.130 0.370 0.630
0.370 0.630 0.130
0.370 0.870 0.630
0.630 0.130 0.370
0.630 0.370 0.870
0.870 0.630 0.370
0.870 0.870 0.870
0.000 0.000 0.500
0.000 0.500 0.000
0.500 0.000 0.000
0.500 0.500 0.500
```

Main lines, low angle first (2θ = 10–90°):
2θ 26.1, intensity 20, (2 0 0)
2θ 29.2, intensity 100, (2 1 0)
2θ 32.1, intensity 74, (2 1 1)
2θ 37.2, intensity 22, (2 2 0)
2θ 43.9, intensity 87, (3 1 1)
2θ 49.9, intensity 45, (3 1 2)
2θ 62.3, intensity 24, (4 2 1)
2θ 71.8, intensity 25, (3 3 3)
2θ 74.8, intensity 20, (5 0 2)
2θ 79.3, intensity 25, (4 4 0)

***

Record 4
This entry pairs a crystal structure of Bi2Pt with its simulated powder diffraction line list. Radiation: a wavelength of 1.5418 Å. Structure: a structure optimized by DFT (PBE).
No peak broadening, texture or thermal motion is included.

Structure:
```
Bi2Pt
1.0
6.873 0.000 0.000
0.000 6.930 0.000
0.000 0.000 13.619
Bi Pt
16 8
direct
0.128 0.038 0.186
0.128 0.462 0.686
0.140 0.694 0.936
0.140 0.806 0.436
0.360 0.194 0.936
0.360 0.306 0.436
0.372 0.538 0.186
0.372 0.962 0.686
0.628 0.038 0.314
0.628 0.462 0.814
0.640 0.694 0.564
0.640 0.806 0.064
0.860 0.194 0.564
0.860 0.306 0.064
0.872 0.538 0.314
0.872 0.962 0.814
0.003 0.666 0.129
0.003 0.834 0.629
0.497 0.166 0.129
0.497 0.334 0.629
0.503 0.666 0.371
0.503 0.834 0.871
0.997 0.166 0.371
0.997 0.334 0.871
```

Main lines, low angle first (2θ = 10–90°):
2θ 28.9, intensity 81, (0 2 2)
2θ 29.3, intensity 100, (1 0 4)
2θ 29.8, intensity 89, (2 1 1)
2θ 31.8, intensity 57, (1 2 2)
2θ 31.9, intensity 46, (2 1 2)
2θ 37.8, intensity 45, (1 1 5)
2θ 41.8, intensity 64, (1 3 1)
2θ 43.7, intensity 72, (3 1 2)
2θ 44.0, intensity 51, (1 1 6)
2θ 47.9, intensity 36, (0 2 6)